Entry 1:
This entry pairs a crystal structure of Rb2SrIrCl6 with its theoretical PXRD pattern. Radiation: Cu Ka. Structure: a DFT-relaxed cell (PBE, Alexandria).

```
data_Rb2SrIrCl6
_chemical_formula_sum 'Rb4 Sr2 Ir2 Cl12'
_symmetry_space_group_name_H-M 'I 4/m m m'
_symmetry_Int_Tables_number 139
_symmetry_space_group_name_Hall '-I 4 2'
_cell_length_a 7.3537
_cell_length_b 7.3537
_cell_length_c 11.2786
_cell_angle_alpha 90.00
_cell_angle_beta 90.00
_cell_angle_gamma 90.00
loop_
_atom_site_label
_atom_site_type_symbol
_atom_site_fract_x
_atom_site_fract_y
_atom_site_fract_z
_atom_site_occupancy
Rb1 Rb 0.0000 0.5000 0.2500 1
Sr1 Sr 0.0000 0.0000 0.0000 1
Ir1 Ir 0.0000 0.0000 0.5000 1
Cl1 Cl 0.0000 0.0000 0.2510 1
Cl2 Cl 0.2272 0.2272 0.5000 1
```

Main lines, by angle (5° ≤ 2θ ≤ 70°):
(1 1 2), d = 3.823 Å, 2θ = 23.27°, I 100; (2 0 0), d = 3.677 Å, 2θ = 24.21°, I 46; (0 0 4), d = 2.820 Å, 2θ = 31.73°, I 36; (2 2 0), d = 2.600 Å, 2θ = 34.50°, I 55; (3 1 2), d = 2.150 Å, 2θ = 42.03°, I 41; (2 2 4), d = 1.911 Å, 2θ = 47.57°, I 42

---

Entry 2:
This entry pairs a crystal structure of RbTlIrCl6 with its theoretical PXRD pattern. Radiation: Cu Ka. Structure: a DFT-relaxed cell (PBE, Alexandria).

```
data_RbTlIrCl6
_chemical_formula_sum 'Rb1 Tl1 Ir1 Cl6'
_symmetry_space_group_name_H-M 'P 3 1 2'
_symmetry_Int_Tables_number 149
_symmetry_space_group_name_Hall 'P 3 2'
_cell_length_a 7.2665
_cell_length_b 7.2665
_cell_length_c 6.7064
_cell_angle_alpha 90.00
_cell_angle_beta 90.00
_cell_angle_gamma 120.00
loop_
_atom_site_label
_atom_site_type_symbol
_atom_site_fract_x
_atom_site_fract_y
_atom_site_fract_z
_atom_site_occupancy
Rb1 Rb 0.0000 0.0000 0.0000 1
Tl1 Tl 0.3333 0.6667 0.5000 1
Ir1 Ir 0.6667 0.3333 0.5000 1
Cl1 Cl 0.4033 0.0693 0.7029 1
```

Main lines, by angle (5° ≤ 2θ ≤ 70°):
(0 0 1), d = 6.706 Å, 2θ = 13.20°, I 63; (1 0 1), d = 4.589 Å, 2θ = 19.34°, I 100; (1 1 0), d = 3.633 Å, 2θ = 24.50°, I 50; (2 -1 1), d = 3.195 Å, 2θ = 27.93°, I 48; (2 -1 2), d = 2.464 Å, 2θ = 36.46°, I 73; (3 -1 1), d = 2.242 Å, 2θ = 40.23°, I 33

---

Entry 3:
This entry pairs a crystal structure of RbTl2IrCl6 with its theoretical PXRD pattern. Radiation: Cu Ka. Structure: a DFT-relaxed cell (PBE, Alexandria).

```
data_RbTl2IrCl6
_chemical_formula_sum 'Rb2 Tl4 Ir2 Cl12'
_symmetry_space_group_name_H-M 'P m m n'
_symmetry_Int_Tables_number 59
_cell_length_a 7.0874
_cell_length_b 10.7745
_cell_length_c 8.7575
_cell_angle_alpha 90.00
_cell_angle_beta 90.00
_cell_angle_gamma 90.00
loop_
_symmetry_equiv_pos_as_xyz
'x,y,z'
'-x,-y,-z'
'-x+1/2,-y+1/2,z'
'x+1/2,y+1/2,-z'
'x+1/2,-y,-z'
'-x+1/2,y,z'
'-x,y+1/2,-z'
'x,-y+1/2,z'
loop_
_atom_site_label
_atom_site_type_symbol
_atom_site_fract_x
_atom_site_fract_y
_atom_site_fract_z
_atom_site_occupancy
Rb1 Rb 0.2500 0.2500 0.1738 1
Tl1 Tl 0.2500 0.0518 0.6678 1
Ir1 Ir 0.2500 0.7500 0.3142 1
Cl1 Cl 0.0110 0.7500 0.1265 1
Cl2 Cl 0.0128 0.7500 0.5059 1
Cl3 Cl 0.2500 0.5302 0.3148 1
```

Main lines, by angle (5° ≤ 2θ ≤ 70°):
(0 0 1), d = 8.758 Å, 2θ = 10.10°, I 60; (0 1 1), d = 6.796 Å, 2θ = 13.03°, I 64; (1 2 1), d = 3.852 Å, 2θ = 23.09°, I 100; (2 0 0), d = 3.544 Å, 2θ = 25.13°, I 34; (2 1 2), d = 2.669 Å, 2θ = 33.58°, I 29; (1 3 3), d = 2.158 Å, 2θ = 41.87°, I 30

---

Repeat the first record exactly.
This entry pairs a crystal structure of Rb2SrIrCl6 with its theoretical PXRD pattern. Radiation: Cu Ka. Structure: a DFT-relaxed cell (PBE, Alexandria).

```
data_Rb2SrIrCl6
_chemical_formula_sum 'Rb4 Sr2 Ir2 Cl12'
_symmetry_space_group_name_H-M 'I 4/m m m'
_symmetry_Int_Tables_number 139
_symmetry_space_group_name_Hall '-I 4 2'
_cell_length_a 7.3537
_cell_length_b 7.3537
_cell_length_c 11.2786
_cell_angle_alpha 90.00
_cell_angle_beta 90.00
_cell_angle_gamma 90.00
loop_
_atom_site_label
_atom_site_type_symbol
_atom_site_fract_x
_atom_site_fract_y
_atom_site_fract_z
_atom_site_occupancy
Rb1 Rb 0.0000 0.5000 0.2500 1
Sr1 Sr 0.0000 0.0000 0.0000 1
Ir1 Ir 0.0000 0.0000 0.5000 1
Cl1 Cl 0.0000 0.0000 0.2510 1
Cl2 Cl 0.2272 0.2272 0.5000 1
```

Main lines, by angle (5° ≤ 2θ ≤ 70°):
(1 1 2), d = 3.823 Å, 2θ = 23.27°, I 100; (2 0 0), d = 3.677 Å, 2θ = 24.21°, I 46; (0 0 4), d = 2.820 Å, 2θ = 31.73°, I 36; (2 2 0), d = 2.600 Å, 2θ = 34.50°, I 55; (3 1 2), d = 2.150 Å, 2θ = 42.03°, I 41; (2 2 4), d = 1.911 Å, 2θ = 47.57°, I 42